Entry 1:
The following is a simulated powder diffraction line list of Rb4CO4. It was derived from a cell relaxed with GGA-PBE, using Cu Kα (weighted mean of Kα1 and Kα2).
Neutral-atom scattering factors, no anomalous dispersion.

Peak list (12 most intense, 5 to 70 degrees two-theta, in order of rising 2θ)
two_theta	d/Å	I/Imax	h k l
21.80	4.077	7	1 1 0
26.78	3.329	100	1 1 1
31.02	2.883	64	2 0 0
34.79	2.578	5	2 1 0
38.24	2.354	31	2 1 1
44.44	2.038	43	2 2 0
52.65	1.738	47	3 1 1
55.19	1.664	12	2 2 2
57.65	1.599	8	3 2 0
60.04	1.541	6	3 2 1
66.92	1.398	8	3 2 2
69.12	1.359	14	4 1 1

```
data_Rb4CO4
_chemical_formula_sum 'Rb4 C1 O4'
_cell_length_a 5.765
_cell_length_b 5.765
_cell_length_c 5.765
_cell_angle_alpha 90.00
_cell_angle_beta 90.00
_cell_angle_gamma 90.00
_symmetry_space_group_name_H-M 'P -4 3 m'
_symmetry_Int_Tables_number 215
_symmetry_space_group_name_Hall 'P -4 2 3'
loop_
_atom_site_label
_atom_site_type_symbol
_atom_site_fract_x
_atom_site_fract_y
_atom_site_fract_z
Rb1 Rb 0.222 0.222 0.778
C1 C 0.500 0.500 0.500
O1 O 0.355 0.355 0.355
```


Entry 2:
The following is a simulated powder diffraction line list of RbCO3. It was derived from a cell relaxed with GGA-PBE, using Cu Kα (weighted mean of Kα1 and Kα2).
Neutral-atom scattering factors, no anomalous dispersion.

Peak list (12 most intense, 5 to 70 degrees two-theta, in order of rising 2θ)
two_theta	d/Å	I/Imax	h k l
22.56	3.942	31	2 0 0
24.26	3.669	21	1 2 1
27.42	3.252	40	1 3 0
27.53	3.241	16	0 3 1
28.11	3.174	50	2 2 0
28.50	3.131	73	0 2 2
28.95	3.084	100	2 0 -2
33.54	2.672	32	2 2 -2
34.57	2.595	18	1 3 -2
35.65	2.518	26	2 0 2
39.55	2.279	16	2 2 2
43.85	2.065	29	0 5 1

```
data_RbCO3
_chemical_formula_sum 'Rb8 C8 O24'
_cell_length_a 8.045
_cell_length_b 10.711
_cell_length_c 7.878
_cell_angle_alpha 90.00
_cell_angle_beta 101.50
_cell_angle_gamma 90.00
_symmetry_space_group_name_H-M 'P 1 21/c 1'
_symmetry_Int_Tables_number 14
loop_
_symmetry_equiv_pos_as_xyz
'x,y,z'
'-x,-y,-z'
'-x,y+1/2,-z+1/2'
'x,-y+1/2,z+1/2'
loop_
_atom_site_label
_atom_site_type_symbol
_atom_site_fract_x
_atom_site_fract_y
_atom_site_fract_z
Rb1 Rb 0.246 0.013 0.006
Rb2 Rb 0.248 0.086 0.506
C1 C 0.053 0.722 0.806
C2 C 0.463 0.725 0.186
O1 O 0.047 0.605 0.788
O2 O 0.051 0.203 0.149
O3 O 0.193 0.709 0.274
O4 O 0.327 0.705 0.728
O5 O 0.433 0.198 0.858
O6 O 0.467 0.609 0.197
```


Entry 3:
The following is a simulated powder diffraction line list of Rb2CO3. It was derived from a cell relaxed with GGA-PBE, using Cu Kα (weighted mean of Kα1 and Kα2).
Neutral-atom scattering factors, no anomalous dispersion.

Peak list (12 most intense, 5 to 70 degrees two-theta, in order of rising 2θ)
two_theta	d/Å	I/Imax	h k l
26.51	3.362	28	1 0 -2
27.94	3.193	58	1 1 -2
29.29	3.049	53	0 2 2
30.06	2.973	58	2 0 0
30.31	2.949	100	1 3 0
30.42	2.939	60	1 1 2
35.42	2.534	21	0 3 2
35.93	2.500	20	2 2 -1
36.48	2.463	21	0 1 3
40.64	2.220	29	2 2 -2
42.71	2.117	18	0 4 2
45.47	1.995	18	2 1 -3

```
data_Rb2CO3
_chemical_formula_sum 'Rb8 C4 O12'
_cell_length_a 5.977
_cell_length_b 10.188
_cell_length_c 7.652
_cell_angle_alpha 90.00
_cell_angle_beta 95.76
_cell_angle_gamma 90.00
_symmetry_space_group_name_H-M 'P 1 21/c 1'
_symmetry_Int_Tables_number 14
loop_
_symmetry_equiv_pos_as_xyz
'x,y,z'
'-x,-y,-z'
'-x,y+1/2,-z+1/2'
'x,-y+1/2,z+1/2'
loop_
_atom_site_label
_atom_site_type_symbol
_atom_site_fract_x
_atom_site_fract_y
_atom_site_fract_z
Rb1 Rb 0.242 0.082 0.182
Rb2 Rb 0.257 0.725 0.022
C1 C 0.251 0.084 0.761
O1 O 0.068 0.152 0.774
O2 O 0.259 0.539 0.310
O3 O 0.427 0.139 0.703
```